Starting from a crystal structure in Alexandria, relaxed with GGA-PBE, the powder XRD pattern of CeSm2Pt9 was simulated for Cu Ka.
Kinematic intensities with the Lorentz-polarization factor, no thermal factor.

Atomic structure:
Unit cell a=5.4432 b=5.4432 c=26.7813 alpha=90.00 beta=90.00 gamma=120.00
Space group R-3m (No. 166, hexagonal axes)
Unique sites:
Ce: 0.0000 0.0000 0.0000 x3
Sm: 0.0000 0.0000 0.1396 x6
Pt: 0.0000 0.0000 0.3329 x6
Pt: 0.0000 0.0000 0.5000 x3
Pt: 0.0036 0.5018 0.9151 x18

Main lines, low angle first (2θ = 10–90°):
2θ/deg  I (rel.)
32.87  33
38.34  28
38.75  100
40.42  27
41.87  47
69.02  27